(1)
# InSnTe3
Simulated powder XRD pattern, Cu Ka. Input: the GGA-PBE geometry in Alexandria.
Kinematic intensities with the Lorentz-polarization factor, no thermal factor.

Peak list (10 most intense, 15 to 90 degrees two-theta, low angle first)
Position (°2θ)  Rel. int.
26.51  49
26.72  52
26.84  60
28.98  61
29.76  29
31.14  59
31.48  44
39.10  100
40.87  42
41.73  47

Atomic structure:
abc: 4.606 7.066 11.066
angles: 96.17 90.60 108.82
Sites, in units of the cell vectors:
In  0.139  0.289  0.366
In  0.861  0.711  0.634
Sn  0.385  0.802  0.070
Sn  0.615  0.198  0.930
Te  0.078  0.140  0.750
Te  0.198  0.377  0.117
Te  0.373  0.744  0.477
Te  0.627  0.256  0.523
Te  0.802  0.623  0.883
Te  0.922  0.860  0.250

(2)
# K4Cd2Hg
Simulated powder XRD pattern, Cu Ka. Input: the GGA-PBE geometry in Alexandria.
Kinematic intensities with the Lorentz-polarization factor, no thermal factor.

Peak list (10 most intense, 15 to 90 degrees two-theta, low angle first)
Position (°2θ)  Rel. int.
17.31  100
23.36  19
26.63  63
28.68  16
29.72  27
31.87  37
32.22  19
33.20  27
33.31  27
34.00  19

Atomic structure:
abc: 7.621 8.374 10.960
angles: 73.23 71.84 64.18
Sites, in units of the cell vectors:
K  0.002  0.277  0.214
K  0.027  0.768  0.146
K  0.437  0.733  0.355
K  0.493  0.217  0.295
K  0.507  0.783  0.705
K  0.563  0.267  0.645
K  0.973  0.232  0.854
K  0.998  0.723  0.786
Cd  0.000  0.500  0.500
Cd  0.415  0.393  0.964
Cd  0.500  0.000  0.000
Cd  0.585  0.607  0.036
Hg  0.101  0.100  0.540
Hg  0.899  0.900  0.460

(3)
# LaTh6
Simulated powder XRD pattern, Cu Ka. Input: the GGA-PBE geometry in Alexandria.
Kinematic intensities with the Lorentz-polarization factor, no thermal factor.

Peak list (10 most intense, 15 to 90 degrees two-theta, low angle first)
Position (°2θ)  Rel. int.
27.93  77
31.00  100
32.73  25
34.19  60
36.47  41
38.08  34
42.79  24
54.91  32
59.50  20
64.47  29

Atomic structure:
abc: 6.680 6.680 10.945
angles: 90.00 90.00 90.00
Sites, in units of the cell vectors:
La  0.250  0.750  0.000
La  0.750  0.250  0.000
Th  0.071  0.571  0.358
Th  0.071  0.929  0.642
Th  0.250  0.250  0.149
Th  0.250  0.250  0.851
Th  0.429  0.571  0.642
Th  0.429  0.929  0.358
Th  0.571  0.071  0.642
Th  0.571  0.429  0.358
Th  0.750  0.750  0.149
Th  0.750  0.750  0.851
Th  0.929  0.071  0.358
Th  0.929  0.429  0.642

(4)
# CePr4O10
Simulated powder XRD pattern, Cu Ka. Input: the GGA-PBE geometry in Alexandria.
Kinematic intensities with the Lorentz-polarization factor, no thermal factor.

Peak list (10 most intense, 15 to 90 degrees two-theta, low angle first)
Position (°2θ)  Rel. int.
27.21  100
27.34  32
31.56  39
45.15  37
45.32  36
53.57  45
53.74  14
65.90  11
72.56  12
83.48  11

Atomic structure:
abc: 16.473 16.473 16.473
angles: 14.00 14.00 14.00
Sites, in units of the cell vectors:
Ce  0.000  0.000  0.000
Pr  0.201  0.201  0.201
Pr  0.398  0.398  0.398
Pr  0.602  0.602  0.602
Pr  0.799  0.799  0.799
O  0.046  0.046  0.046
O  0.150  0.150  0.150
O  0.251  0.251  0.251
O  0.347  0.347  0.347
O  0.449  0.449  0.449
O  0.551  0.551  0.551
O  0.653  0.653  0.653
O  0.749  0.749  0.749
O  0.850  0.850  0.850
O  0.954  0.954  0.954

(5)
# Tb2CuRh2
Simulated powder XRD pattern, Cu Ka. Input: the GGA-PBE geometry in Alexandria.
Kinematic intensities with the Lorentz-polarization factor, no thermal factor.

Peak list (10 most intense, 15 to 90 degrees two-theta, low angle first)
Position (°2θ)  Rel. int.
26.28  40
34.45  100
36.57  27
37.93  50
39.27  73
39.70  38
43.48  37
44.61  16
59.03  33
69.99  34

Atomic structure:
abc: 5.420 5.420 5.420
angles: 134.84 114.74 82.90
Sites, in units of the cell vectors:
Tb  0.205  0.205  0.000
Tb  0.795  0.795  0.000
Cu  0.500  0.000  0.500
Rh  0.235  0.500  0.735
Rh  0.765  0.500  0.265

(6)
# Cs2CeIBr6
Simulated powder XRD pattern, Cu Ka. Input: the GGA-PBE geometry in Alexandria.
Kinematic intensities with the Lorentz-polarization factor, no thermal factor.

Peak list (10 most intense, 15 to 90 degrees two-theta, low angle first)
Position (°2θ)  Rel. int.
17.13  50
20.72  64
22.72  45
23.93  81
25.67  63
27.86  49
28.25  100
28.66  97
34.21  66
46.47  43

Atomic structure:
abc: 8.718 10.360 12.043
angles: 90.00 124.21 90.00
Sites, in units of the cell vectors:
Cs  0.204  0.107  0.274
Cs  0.204  0.393  0.774
Cs  0.796  0.607  0.226
Cs  0.796  0.893  0.726
Ce  0.500  0.000  0.000
Ce  0.500  0.500  0.500
I  0.000  0.000  0.500
I  0.000  0.500  0.000
Br  0.171  0.113  0.951
Br  0.171  0.387  0.451
Br  0.328  0.743  0.425
Br  0.328  0.757  0.925
Br  0.385  0.061  0.728
Br  0.385  0.439  0.228
Br  0.615  0.561  0.772
Br  0.615  0.939  0.272
Br  0.672  0.243  0.075
Br  0.672  0.257  0.575
Br  0.829  0.613  0.549
Br  0.829  0.887  0.049

(7)
# LaSm2Y2Tm2
Simulated powder XRD pattern, Cu Ka. Input: the GGA-PBE geometry in Alexandria.
Kinematic intensities with the Lorentz-polarization factor, no thermal factor.

Peak list (10 most intense, 15 to 90 degrees two-theta, low angle first)
Position (°2θ)  Rel. int.
27.56  43
30.43  100
32.45  39
33.81  50
35.62  44
38.28  20
53.11  19
54.97  13
61.64  27
62.43  25

Atomic structure:
abc: 9.051 9.051 8.452
angles: 116.23 116.23 22.32
Sites, in units of the cell vectors:
La  0.000  0.000  0.000
Sm  0.351  0.351  0.111
Sm  0.649  0.649  0.889
Y  0.428  0.428  0.591
Y  0.572  0.572  0.409
Tm  0.212  0.212  0.301
Tm  0.788  0.788  0.699

(8)
# LiCaMg2Ag4
Simulated powder XRD pattern, Cu Ka. Input: the GGA-PBE geometry in Alexandria.
Kinematic intensities with the Lorentz-polarization factor, no thermal factor.

Peak list (10 most intense, 15 to 90 degrees two-theta, low angle first)
Position (°2θ)  Rel. int.
26.00  97
33.17  22
36.01  77
38.16  100
45.39  17
46.75  19
53.47  23
67.56  22
68.59  16
68.96  16

Atomic structure:
abc: 8.830 8.830 8.830
angles: 30.99 30.99 30.99
Sites, in units of the cell vectors:
Li  0.000  0.000  0.000
Ca  0.500  0.500  0.500
Mg  0.258  0.258  0.258
Mg  0.742  0.742  0.742
Ag  0.105  0.105  0.105
Ag  0.373  0.373  0.373
Ag  0.627  0.627  0.627
Ag  0.895  0.895  0.895

(9)
# TmTa3
Simulated powder XRD pattern, Cu Ka. Input: the GGA-PBE geometry in Alexandria.
Kinematic intensities with the Lorentz-polarization factor, no thermal factor.

Peak list (4 most intense, 15 to 90 degrees two-theta, low angle first)
Position (°2θ)  Rel. int.
37.18  100
53.60  18
67.04  36
79.23  11

Atomic structure:
abc: 4.836 4.836 4.836
angles: 60.00 60.00 60.00
Sites, in units of the cell vectors:
Tm  0.000  0.000  0.000
Ta  0.250  0.250  0.250
Ta  0.500  0.500  0.500
Ta  0.750  0.750  0.750

(10)
# ReIrI2
Simulated powder XRD pattern, Cu Ka. Input: the GGA-PBE geometry in Alexandria.
Kinematic intensities with the Lorentz-polarization factor, no thermal factor.

Peak list (10 most intense, 15 to 90 degrees two-theta, low angle first)
Position (°2θ)  Rel. int.
25.84  100
42.76  50
42.97  25
50.44  16
50.82  32
62.39  8
68.37  13
78.15  9
78.60  17
84.54  8

Atomic structure:
abc: 7.339 7.339 7.339
angles: 132.14 132.14 70.01
Sites, in units of the cell vectors:
Re  0.000  0.000  0.000
Re  0.750  0.250  0.500
Ir  0.250  0.750  0.500
Ir  0.500  0.500  0.000
I  0.124  0.625  0.999
I  0.375  0.374  0.499
I  0.626  0.125  0.001
I  0.875  0.876  0.501

(11)
# PmThGa4
Simulated powder XRD pattern, Cu Ka. Input: the GGA-PBE geometry in Alexandria.
Kinematic intensities with the Lorentz-polarization factor, no thermal factor.

Peak list (10 most intense, 15 to 90 degrees two-theta, low angle first)
Position (°2θ)  Rel. int.
27.67  38
32.09  100
36.97  50
42.47  38
48.01  24
51.44  14
57.54  28
61.62  13
66.00  19
71.18  20

Atomic structure:
abc: 7.995 7.995 7.995
angles: 149.12 149.12 44.24
Sites, in units of the cell vectors:
Pm  0.000  0.000  0.000
Th  0.750  0.250  0.500
Ga  0.167  0.667  0.500
Ga  0.333  0.833  0.500
Ga  0.417  0.417  0.000
Ga  0.583  0.583  0.000

(12)
# Nd3PbSeN
Simulated powder XRD pattern, Cu Ka. Input: the GGA-PBE geometry in Alexandria.
Kinematic intensities with the Lorentz-polarization factor, no thermal factor.

Peak list (10 most intense, 15 to 90 degrees two-theta, low angle first)
Position (°2θ)  Rel. int.
28.61  65
29.04  65
29.31  100
29.52  16
31.59  16
37.13  51
38.17  23
43.33  27
45.37  21
52.74  23

Atomic structure:
abc: 9.271 4.177 9.559
angles: 90.00 101.70 90.00
Sites, in units of the cell vectors:
Nd  0.080  0.250  0.340
Nd  0.345  0.250  0.988
Nd  0.392  0.750  0.659
Nd  0.608  0.250  0.341
Nd  0.655  0.750  0.012
Nd  0.920  0.750  0.660
Pb  0.322  0.750  0.287
Pb  0.678  0.250  0.713
Se  0.149  0.250  0.656
Se  0.851  0.750  0.344
N  0.411  0.750  0.897
N  0.589  0.250  0.103

(13)
# InGeICl4
Simulated powder XRD pattern, Cu Ka. Input: the GGA-PBE geometry in Alexandria.
Kinematic intensities with the Lorentz-polarization factor, no thermal factor.

Peak list (10 most intense, 15 to 90 degrees two-theta, low angle first)
Position (°2θ)  Rel. int.
17.91  44
18.85  63
19.60  100
24.32  37
25.58  51
30.89  32
34.27  30
38.86  30
44.75  29
48.53  31

Atomic structure:
abc: 7.729 7.729 11.042
angles: 113.47 113.47 71.74
Sites, in units of the cell vectors:
In  0.165  0.165  0.325
In  0.835  0.835  0.675
Ge  0.450  0.450  0.799
Ge  0.550  0.550  0.201
I  0.321  0.321  0.942
I  0.679  0.679  0.058
Cl  0.175  0.774  0.801
Cl  0.200  0.200  0.559
Cl  0.226  0.825  0.199
Cl  0.350  0.350  0.318
Cl  0.650  0.650  0.682
Cl  0.774  0.175  0.801
Cl  0.800  0.800  0.441
Cl  0.825  0.226  0.199